(1)
Structure and theoretical powder X-ray diffraction pattern of Ba7PAu3 (a cell relaxed with PBE; Cu Ka).
Intensities are scaled so that the largest is 100.

Cell and atoms:
Lattice parameters (Å, degrees): 11.221 11.134 9.355 90.00 125.53 90.00
Space group Cm (No. 8)
One atom of each set of equivalent atoms:
Ba 0.000 0.000 0.000 [2 per cell]
Ba 0.023 0.500 0.269 [2 per cell]
Ba 0.236 0.282 0.029 [4 per cell]
Ba 0.307 0.000 0.618 [2 per cell]
Ba 0.483 0.303 0.549 [4 per cell]
P 0.193 0.000 0.864 [2 per cell]
Au 0.119 0.216 0.299 [4 per cell]
Au 0.136 0.500 0.718 [2 per cell]

The 6 most intense peaks (10 to 90 degrees two-theta), most intense first:
| 2θ (°) | I/Imax | hkl |
| --- | --- | --- |
| 32.39 | 100 | 2 2 1 |
| 25.94 | 72 | 1 3 0 |
| 32.94 | 64 | 2 2 -3 |
| 19.76 | 64 | 0 2 1 |
| 31.01 | 57 | 1 3 -2 |
| 32.16 | 49 | 0 4 0 |

***

(2)
Structure and theoretical powder X-ray diffraction pattern of Ba7PAu4 (a cell relaxed with PBE; Cu Ka).
Intensities are scaled so that the largest is 100.

Cell and atoms:
Lattice parameters (Å, degrees): 15.666 4.624 14.204 90.00 105.76 90.00
Space group Cm (No. 8)
One atom of each set of equivalent atoms:
Ba 0.000 0.000 0.000 [2 per cell]
Ba 0.022 0.500 0.281 [2 per cell]
Ba 0.071 0.000 0.561 [2 per cell]
Ba 0.191 0.500 0.837 [2 per cell]
Ba 0.279 0.500 0.149 [2 per cell]
Ba 0.306 0.000 0.429 [2 per cell]
Ba 0.381 0.000 0.744 [2 per cell]
P 0.420 0.500 0.362 [2 per cell]
Au 0.035 0.000 0.782 [2 per cell]
Au 0.153 0.000 0.214 [2 per cell]
Au 0.236 0.500 0.605 [2 per cell]
Au 0.340 0.000 0.981 [2 per cell]

The 6 most intense peaks (10 to 90 degrees two-theta), most intense first:
| 2θ (°) | I/Imax | hkl |
| --- | --- | --- |
| 25.50 | 100 | 2 0 -4 |
| 28.17 | 90 | 3 1 1 |
| 27.04 | 90 | 3 1 -2 |
| 26.19 | 86 | 3 1 0 |
| 19.80 | 81 | 2 0 2 |
| 25.79 | 65 | 3 1 -1 |

***

(3)
Structure and theoretical powder X-ray diffraction pattern of BaP2Au7 (a cell relaxed with PBE; Cu Ka).
Intensities are scaled so that the largest is 100.

Cell and atoms:
Lattice parameters (Å, degrees): 7.387 4.500 8.154 90.00 116.82 90.00
Space group P2/m (No. 10)
One atom of each set of equivalent atoms:
Ba 0.000 0.000 0.000 [1 per cell]
P 0.314 0.500 0.628 [2 per cell]
Au 0.028 0.500 0.696 [2 per cell]
Au 0.332 0.500 0.304 [2 per cell]
Au 0.382 0.000 0.763 [2 per cell]
Au 0.500 0.500 0.000 [1 per cell]

The 6 most intense peaks (10 to 90 degrees two-theta), most intense first:
| 2θ (°) | I/Imax | hkl |
| --- | --- | --- |
| 29.66 | 100 | 1 1 -2 |
| 40.09 | 63 | 0 2 0 |
| 37.04 | 45 | 0 0 3 |
| 31.33 | 37 | 2 1 -1 |
| 42.32 | 36 | 0 1 3 |
| 38.81 | 34 | 1 1 2 |

***

(4)
Structure and theoretical powder X-ray diffraction pattern of BaP2Au2S7 (a cell relaxed with PBE; Cu Ka).
Intensities are scaled so that the largest is 100.

Cell and atoms:
Lattice parameters (Å, degrees): 6.4746 6.4746 30.2977 90.00 90.00 120.00
Space group R32 (No. 155, hexagonal axes)
One atom of each set of equivalent atoms:
Ba 0.0000 0.0000 0.0000 [3 per cell]
P 0.0000 0.0000 0.4294 [6 per cell]
Au 0.0000 0.0000 0.2532 [6 per cell]
S 0.0000 0.0000 0.5000 [3 per cell]
S 0.0129 0.3780 0.2550 [18 per cell]

The 6 most intense peaks (10 to 90 degrees two-theta), most intense first:
| 2θ (°) | I/Imax | hkl |
| --- | --- | --- |
| 19.70 | 100 | 1 0 4 |
| 27.55 | 51 | 1 1 0 |
| 17.56 | 40 | 0 0 6 |
| 34.10 | 36 | 0 2 4 |
| 28.44 | 35 | 0 1 8 |
| 44.39 | 28 | 2 1 4 |